[1]
Starting from a crystal structure in Alexandria, relaxed with GGA+U, the X-ray powder pattern of CoSb2F was simulated for Cu Kα (weighted mean of Kα1 and Kα2).
Peak positions follow from Bragg's law for the DFT cell and can differ from measured ones.

Top 8 peaks for 2θ = 5–70°, sorted by position:
| Position (°2θ) | d_spacing | intensity |
| --- | --- | --- |
| 23.77 | 3.744 | 4 |
| 27.51 | 3.242 | 31 |
| 39.30 | 2.293 | 100 |
| 46.45 | 1.955 | 2 |
| 48.64 | 1.872 | 9 |
| 56.79 | 1.621 | 16 |
| 62.43 | 1.488 | 1 |
| 64.24 | 1.450 | 12 |

```
4
Lattice="0.0000 3.2422 3.2422 3.2422 0.0000 3.2422 3.2422 3.2422 0.0000" Properties=species:S:1:pos:R:3 pbc="T T T"
Co 0.0000 0.0000 0.0000
Sb 1.6211 1.6211 1.6211
Sb 4.8632 4.8632 4.8632
F 3.2422 3.2422 3.2422
```

=====

[2]
Starting from a crystal structure in Alexandria, relaxed with GGA+U, the X-ray powder pattern of TlCoSbF6 was simulated for Cu Kα (weighted mean of Kα1 and Kα2).
Peak positions follow from Bragg's law for the DFT cell and can differ from measured ones.

Top 10 peaks for 2θ = 5–70°, sorted by position:
| Position (°2θ) | d_spacing | intensity |
| --- | --- | --- |
| 17.49 | 5.069 | 16 |
| 23.66 | 3.761 | 69 |
| 23.81 | 3.738 | 100 |
| 23.94 | 3.718 | 37 |
| 30.43 | 2.938 | 23 |
| 30.77 | 2.906 | 45 |
| 32.14 | 2.785 | 16 |
| 38.96 | 2.312 | 19 |
| 39.14 | 2.302 | 20 |
| 45.05 | 2.012 | 24 |

```
9
Lattice="5.5707 0.0000 0.0000 0.0044 5.8101 0.0000 0.0449 2.8424 5.0706" Properties=species:S:1:pos:R:3 pbc="T T T"
Tl 0.0000 0.0000 0.0000
Co 2.6651 5.7789 3.3950
Sb 2.9295 2.8809 1.6994
F 1.5925 1.2996 2.0878
F 1.6053 3.9883 2.8973
F 1.5822 3.3623 0.1622
F 3.6754 7.5116 3.5939
F 3.6623 5.0889 1.7709
F 3.7125 4.7360 4.7722
```

=====

[3]
Starting from a crystal structure in Alexandria, relaxed with GGA+U, the X-ray powder pattern of Sr4Co6F19 was simulated for Cu Kα (weighted mean of Kα1 and Kα2).
Peak positions follow from Bragg's law for the DFT cell and can differ from measured ones.

Top 10 peaks for 2θ = 5–70°, sorted by position:
| Position (°2θ) | d_spacing | intensity |
| --- | --- | --- |
| 23.67 | 3.759 | 96 |
| 30.70 | 2.912 | 89 |
| 36.51 | 2.461 | 60 |
| 41.61 | 2.170 | 100 |
| 48.43 | 1.880 | 34 |
| 50.54 | 1.806 | 46 |
| 54.59 | 1.681 | 18 |
| 58.44 | 1.579 | 18 |
| 60.31 | 1.535 | 49 |
| 69.19 | 1.358 | 15 |

```
29
Lattice="-4.6043 4.6043 4.6043 4.6043 -4.6043 4.6043 4.6043 4.6043 -4.6043" Properties=species:S:1:pos:R:3 pbc="T T T"
Sr 3.0967 3.0967 -3.0967
Sr 3.0967 -3.0967 3.0967
Sr 1.5075 1.5075 1.5075
Sr -3.0967 3.0967 3.0967
Co 4.6043 0.0000 1.4888
Co 4.6043 3.1155 0.0000
Co 1.4888 4.6043 0.0000
Co 3.1155 0.0000 4.6043
Co 0.0000 1.4888 4.6043
Co 0.0000 4.6043 3.1155
F 0.0000 0.0000 0.0000
F 3.1055 0.0000 0.0000
F 6.1030 0.0000 0.0000
F 5.0971 1.9815 -1.6700
F 2.9343 -0.4928 2.6228
F 2.6228 2.9343 -0.4928
F 0.0000 3.1055 0.0000
F 0.0000 0.0000 3.1055
F 6.2743 0.4928 2.6228
F 1.9815 -1.6700 5.0971
F 4.1114 1.9815 1.6700
F -0.4928 2.6228 2.9343
F 1.9815 1.6700 4.1114
F 1.6700 4.1114 1.9815
F 0.0000 6.1030 0.0000
F 0.0000 0.0000 6.1030
F 2.6228 6.2743 0.4928
F -1.6700 5.0971 1.9815
F 0.4928 2.6228 6.2743
```

=====

[4]
Starting from a crystal structure in Alexandria, relaxed with GGA+U, the X-ray powder pattern of CoTeF6 was simulated for Cu Kα (weighted mean of Kα1 and Kα2).
Peak positions follow from Bragg's law for the DFT cell and can differ from measured ones.

Top 10 peaks for 2θ = 5–70°, sorted by position:
| Position (°2θ) | d_spacing | intensity |
| --- | --- | --- |
| 14.27 | 6.206 | 17 |
| 20.63 | 4.306 | 100 |
| 21.41 | 4.150 | 38 |
| 22.40 | 3.968 | 13 |
| 25.83 | 3.450 | 23 |
| 31.63 | 2.828 | 22 |
| 37.08 | 2.425 | 11 |
| 39.34 | 2.290 | 19 |
| 39.91 | 2.259 | 15 |
| 41.63 | 2.170 | 22 |

```
8
Lattice="2.6052 -4.1499 0.0000 2.6052 4.1499 0.0000 -1.6462 0.0000 6.2056" Properties=species:S:1:pos:R:3 pbc="T T T"
Co 0.0000 0.0000 0.0000
Te 1.7821 3.4947 3.1028
F 0.8395 2.0653 2.2290
F -0.1476 0.3675 5.0913
F 0.6821 -0.9176 1.6742
F 2.7247 2.0653 3.9766
F 3.7118 0.3675 1.1142
F 2.8821 -0.9176 4.5314
```